# 1
The following is a calculated powder X-ray diffraction pattern of Rb3Re2PbO8. It was derived from a crystal structure in Alexandria, relaxed with GGA-PBE, using copper Kα.
Intensities are scaled so that the largest is 100.

Structure:
```
data_Rb3Re2PbO8
_space_group_name_H-M_alt 'P -3 m 1'
_space_group_IT_number 164
_space_group_name_Hall '-P 3 2"'
_cell_length_a 6.3368
_cell_length_b 6.3368
_cell_length_c 8.2693
_cell_angle_alpha 90.00
_cell_angle_beta 90.00
_cell_angle_gamma 120.00
loop_
_atom_site_label
_atom_site_type_symbol
_atom_site_fract_x
_atom_site_fract_y
_atom_site_fract_z
Rb1 Rb 0.0000 0.0000 0.0000
Rb2 Rb 0.3333 0.6667 0.6666
Re1 Re 0.3333 0.6667 0.2130
Pb1 Pb 0.0000 0.0000 0.5000
O1 O 0.1787 0.3573 0.3006
O2 O 0.3333 0.6667 0.9973
```

Most intense lines, 2θ = 10–80°, low angle first:
| h k l | 2θ (°) | Rel. int. |
| --- | --- | --- |
| 1 0 1 | 19.4 | 44 |
| 0 1 2 | 27.0 | 92 |
| 1 1 0 | 28.2 | 100 |
| 0 1 3 | 36.5 | 12 |
| 2 0 2 | 39.4 | 44 |
| 1 0 4 | 47.0 | 12 |
| 1 2 2 | 49.1 | 35 |
| 3 0 0 | 49.9 | 21 |
| 0 2 4 | 55.7 | 11 |
| 2 2 0 | 58.2 | 22 |
| 2 1 4 | 63.5 | 12 |
| 3 1 2 | 65.3 | 16 |

# 2
The following is a calculated powder X-ray diffraction pattern of Li4MnW3N8. It was derived from a crystal structure in Alexandria, relaxed with GGA-PBE, using copper Kα.
Intensities are scaled so that the largest is 100.

Structure:
```
data_Li4MnW3N8
_space_group_name_H-M_alt 'R -3 m'
_space_group_IT_number 166
_space_group_name_Hall '-R 3 2"'
_cell_length_a 5.9239
_cell_length_b 5.9239
_cell_length_c 15.3799
_cell_angle_alpha 90.00
_cell_angle_beta 90.00
_cell_angle_gamma 120.00
loop_
_atom_site_label
_atom_site_type_symbol
_atom_site_fract_x
_atom_site_fract_y
_atom_site_fract_z
Li1 Li 0.0000 0.0000 0.0000
Li2 Li 0.0000 0.5000 0.0000
Mn1 Mn 0.0000 0.0000 0.5000
W1 W 0.0000 0.5000 0.5000
N1 N 0.0000 0.0000 0.2435
N2 N 0.0003 0.5002 0.2408
```

Most intense lines, 2θ = 10–80°, low angle first:
| h k l | 2θ (°) | Rel. int. |
| --- | --- | --- |
| 0 0 3 | 17.3 | 100 |
| 1 0 1 | 18.2 | 11 |
| 0 0 6 | 35.0 | 18 |
| 0 2 1 | 35.5 | 47 |
| 2 0 2 | 36.9 | 34 |
| 0 2 4 | 42.4 | 45 |
| 2 0 5 | 46.1 | 21 |
| 0 2 7 | 55.0 | 15 |
| 2 0 8 | 60.1 | 15 |
| 2 2 0 | 62.7 | 14 |
| 2 2 3 | 65.6 | 18 |
| 0 0 12 | 73.9 | 13 |

# 3
The following is a calculated powder X-ray diffraction pattern of Cd3Ga2Te6. It was derived from a crystal structure in Alexandria, relaxed with GGA-PBE, using copper Kα.
Intensities are scaled so that the largest is 100.

Structure:
```
data_Cd3Ga2Te6
_space_group_name_H-M_alt 'C 1 2 1'
_space_group_IT_number 5
_space_group_name_Hall 'C 2y'
_cell_length_a 14.360
_cell_length_b 6.307
_cell_length_c 8.915
_cell_angle_alpha 90.00
_cell_angle_beta 110.39
_cell_angle_gamma 90.00
loop_
_atom_site_label
_atom_site_type_symbol
_atom_site_fract_x
_atom_site_fract_y
_atom_site_fract_z
Cd1 Cd 0.000 0.000 0.000
Cd2 Cd 0.158 0.463 0.812
Ga1 Ga 0.169 0.459 0.343
Te1 Te 0.014 0.206 0.289
Te2 Te 0.158 0.744 0.561
Te3 Te 0.168 0.702 0.092
```

Most intense lines, 2θ = 10–80°, low angle first:
| h k l | 2θ (°) | Rel. int. |
| --- | --- | --- |
| 3 1 0 | 24.3 | 100 |
| 1 1 -2 | 24.5 | 92 |
| 4 2 -2 | 40.0 | 50 |
| 6 0 0 | 40.2 | 26 |
| 2 0 -4 | 40.5 | 20 |
| 2 2 2 | 40.8 | 40 |
| 7 1 -2 | 46.9 | 17 |
| 5 1 -4 | 47.1 | 15 |
| 1 3 -2 | 47.8 | 28 |
| 5 1 2 | 48.4 | 11 |
| 1 1 4 | 48.6 | 10 |
| 8 0 -4 | 57.1 | 10 |

# 4
The following is a calculated powder X-ray diffraction pattern of Tb5HoTh2. It was derived from a crystal structure in Alexandria, relaxed with GGA-PBE, using copper Kα.
Intensities are scaled so that the largest is 100.

Structure:
```
data_Tb5HoTh2
_space_group_name_H-M_alt 'C 1 2/m 1'
_space_group_IT_number 12
_space_group_name_Hall '-C 2y'
_cell_length_a 14.259
_cell_length_b 10.013
_cell_length_c 3.581
_cell_angle_alpha 90.00
_cell_angle_beta 90.10
_cell_angle_gamma 90.00
loop_
_atom_site_label
_atom_site_type_symbol
_atom_site_fract_x
_atom_site_fract_y
_atom_site_fract_z
Tb1 Tb 0.000 0.000 0.000
Tb2 Tb 0.128 0.251 0.500
Ho1 Ho 0.000 0.500 0.000
Th1 Th 0.250 0.000 0.000
```

Most intense lines, 2θ = 10–80°, low angle first:
| h k l | 2θ (°) | Rel. int. |
| --- | --- | --- |
| 2 0 0 | 12.4 | 2 |
| 0 2 1 | 30.7 | 100 |
| 4 0 1 | 35.5 | 34 |
| 0 4 0 | 35.9 | 17 |
| 0 0 2 | 51.0 | 6 |
| 8 0 0 | 51.3 | 6 |
| 4 4 1 | 51.4 | 24 |
| 4 2 2 | 60.8 | 15 |
| 8 2 1 | 60.9 | 14 |
| 0 6 1 | 61.3 | 14 |
| 0 4 2 | 63.9 | 6 |
| 8 4 0 | 64.1 | 6 |

# 5
The following is a calculated powder X-ray diffraction pattern of Ce4GeTe2I. It was derived from a crystal structure in Alexandria, relaxed with GGA-PBE, using copper Kα.
Intensities are scaled so that the largest is 100.

Structure:
```
data_Ce4GeTe2I
_space_group_name_H-M_alt 'P 1 2/m 1'
_space_group_IT_number 10
_space_group_name_Hall '-P 2y'
_cell_length_a 7.703
_cell_length_b 4.405
_cell_length_c 7.714
_cell_angle_alpha 90.00
_cell_angle_beta 109.03
_cell_angle_gamma 90.00
loop_
_atom_site_label
_atom_site_type_symbol
_atom_site_fract_x
_atom_site_fract_y
_atom_site_fract_z
Ce1 Ce 0.229 0.000 0.233
Ce2 Ce 0.235 0.500 0.756
Ge1 Ge 0.000 0.500 0.000
Te1 Te 0.000 0.000 0.500
Te2 Te 0.500 0.500 0.500
I1 I 0.500 0.000 0.000
```

Most intense lines, 2θ = 10–80°, low angle first:
| h k l | 2θ (°) | Rel. int. |
| --- | --- | --- |
| 1 1 1 | 28.4 | 100 |
| 2 0 2 | 40.3 | 12 |
| 1 1 -3 | 40.6 | 50 |
| 0 2 0 | 41.0 | 13 |
| 0 0 4 | 50.1 | 13 |
| 2 2 -2 | 50.6 | 13 |
| 2 2 2 | 58.8 | 12 |
| 3 1 3 | 66.1 | 5 |
| 0 2 4 | 66.6 | 21 |
| 1 3 1 | 67.1 | 6 |
| 1 1 5 | 73.5 | 7 |
| 1 3 -3 | 74.4 | 8 |

# 6
The following is a calculated powder X-ray diffraction pattern of AcPm12Y2. It was derived from a crystal structure in Alexandria, relaxed with GGA-PBE, using copper Kα.
Intensities are scaled so that the largest is 100.

Structure:
```
data_AcPm12Y2
_space_group_name_H-M_alt 'P -1'
_space_group_IT_number 2
_space_group_name_Hall '-P 1'
_cell_length_a 6.739
_cell_length_b 6.747
_cell_length_c 25.629
_cell_angle_alpha 82.49
_cell_angle_beta 86.79
_cell_angle_gamma 64.70
loop_
_atom_site_label
_atom_site_type_symbol
_atom_site_fract_x
_atom_site_fract_y
_atom_site_fract_z
Ac1 Ac 0.248 0.245 0.004
Pm1 Pm 0.007 0.843 0.334
Pm2 Pm 0.009 0.108 0.796
Pm3 Pm 0.249 0.051 0.403
Pm4 Pm 0.249 0.521 0.463
Pm5 Pm 0.249 0.711 0.076
Pm6 Pm 0.250 0.181 0.144
Pm7 Pm 0.250 0.978 0.539
Pm8 Pm 0.251 0.445 0.602
Pm9 Pm 0.252 0.315 0.865
Pm10 Pm 0.252 0.786 0.924
Pm11 Pm 0.491 0.329 0.335
Pm12 Pm 0.492 0.591 0.795
Y1 Y 0.001 0.632 0.730
Y2 Y 0.499 0.868 0.270
```

Most intense lines, 2θ = 10–80°, low angle first:
| h k l | 2θ (°) | Rel. int. |
| --- | --- | --- |
| 1 -1 0 | 24.8 | 15 |
| 2 0 0 | 29.3 | 11 |
| 0 2 -1 | 30.1 | 38 |
| 2 0 2 | 30.2 | 38 |
| 1 1 8 | 30.7 | 100 |
| 2 2 1 | 31.4 | 93 |
| 3 1 -5 | 45.1 | 32 |
| -2 2 1 | 50.6 | 13 |
| 3 3 9 | 55.5 | 18 |
| 2 0 13 | 55.9 | 18 |
| 3 -1 7 | 60.4 | 29 |
| 4 0 0 | 60.8 | 17 |

# 7
The following is a calculated powder X-ray diffraction pattern of HoZn2GaCu4. It was derived from a crystal structure in Alexandria, relaxed with GGA-PBE, using copper Kα.
Intensities are scaled so that the largest is 100.

Structure:
```
data_HoZn2GaCu4
_space_group_name_H-M_alt 'R -3 m'
_space_group_IT_number 166
_space_group_name_Hall '-R 3 2"'
_cell_length_a 4.2082
_cell_length_b 4.2082
_cell_length_c 24.3430
_cell_angle_alpha 90.00
_cell_angle_beta 90.00
_cell_angle_gamma 120.00
loop_
_atom_site_label
_atom_site_type_symbol
_atom_site_fract_x
_atom_site_fract_y
_atom_site_fract_z
Ho1 Ho 0.0000 0.0000 0.0000
Zn1 Zn 0.0000 0.0000 0.2465
Ga1 Ga 0.0000 0.0000 0.5000
Cu1 Cu 0.0000 0.0000 0.1287
Cu2 Cu 0.0000 0.0000 0.4002
```

Most intense lines, 2θ = 10–80°, low angle first:
| h k l | 2θ (°) | Rel. int. |
| --- | --- | --- |
| 0 1 2 | 25.5 | 16 |
| 1 0 4 | 28.5 | 12 |
| 0 1 5 | 30.6 | 15 |
| 1 0 7 | 35.7 | 20 |
| 0 1 8 | 38.5 | 98 |
| 1 1 0 | 43.0 | 100 |
| 1 0 10 | 44.8 | 9 |
| 2 0 8 | 59.1 | 27 |
| 1 1 12 | 63.7 | 15 |
| 1 0 16 | 66.6 | 9 |
| 1 2 8 | 75.8 | 25 |
| 3 0 0 | 78.8 | 15 |

# 8
The following is a calculated powder X-ray diffraction pattern of Th2ZrUO8. It was derived from a crystal structure in Alexandria, relaxed with GGA-PBE, using copper Kα.
Intensities are scaled so that the largest is 100.

Structure:
```
data_Th2ZrUO8
_space_group_name_H-M_alt 'P 4 m m'
_space_group_IT_number 99
_space_group_name_Hall 'P 4 -2'
_cell_length_a 3.859
_cell_length_b 3.859
_cell_length_c 10.944
_cell_angle_alpha 90.00
_cell_angle_beta 90.00
_cell_angle_gamma 90.00
loop_
_atom_site_label
_atom_site_type_symbol
_atom_site_fract_x
_atom_site_fract_y
_atom_site_fract_z
Th1 Th 0.000 0.000 0.000
Th2 Th 0.500 0.500 0.262
Zr1 Zr 0.000 0.000 0.506
U1 U 0.500 0.500 0.744
O1 O 0.000 0.500 0.130
O2 O 0.000 0.500 0.391
O3 O 0.000 0.500 0.622
O4 O 0.000 0.500 0.869
```

Most intense lines, 2θ = 10–80°, low angle first:
| h k l | 2θ (°) | Rel. int. |
| --- | --- | --- |
| 0 0 3 | 24.4 | 8 |
| 1 0 2 | 28.3 | 100 |
| 1 1 0 | 32.8 | 35 |
| 2 0 0 | 47.1 | 50 |
| 1 0 5 | 47.8 | 3 |
| 1 0 6 | 55.7 | 15 |
| 2 1 2 | 55.9 | 31 |
| 2 0 4 | 58.5 | 10 |
| 2 2 0 | 68.8 | 5 |
| 3 0 2 | 75.9 | 18 |
| 1 1 8 | 78.2 | 4 |
| 3 1 0 | 78.3 | 9 |

# 9
The following is a calculated powder X-ray diffraction pattern of CaTa2O6. It was derived from a crystal structure in Alexandria, relaxed with GGA-PBE, using copper Kα.
Intensities are scaled so that the largest is 100.

Structure:
```
data_CaTa2O6
_space_group_name_H-M_alt 'P m -3'
_space_group_IT_number 200
_space_group_name_Hall '-P 2 2 3'
_cell_length_a 7.855
_cell_length_b 7.855
_cell_length_c 7.855
_cell_angle_alpha 90.00
_cell_angle_beta 90.00
_cell_angle_gamma 90.00
loop_
_atom_site_label
_atom_site_type_symbol
_atom_site_fract_x
_atom_site_fract_y
_atom_site_fract_z
Ca1 Ca 0.000 0.000 0.000
Ca2 Ca 0.000 0.500 0.500
Ta1 Ta 0.251 0.251 0.251
O1 O 0.000 0.273 0.224
O2 O 0.218 0.289 0.500
```

Most intense lines, 2θ = 10–80°, low angle first:
| h k l | 2θ (°) | Rel. int. |
| --- | --- | --- |
| 1 1 1 | 19.6 | 3 |
| 2 0 0 | 22.6 | 100 |
| 2 2 0 | 32.2 | 93 |
| 3 1 1 | 38.0 | 1 |
| 2 2 2 | 39.7 | 14 |
| 4 0 0 | 46.2 | 29 |
| 3 3 1 | 50.7 | 1 |
| 4 2 0 | 52.1 | 43 |
| 4 2 2 | 57.5 | 40 |
| 4 4 0 | 67.4 | 17 |
| 4 4 2 | 72.1 | 19 |
| 6 2 0 | 76.7 | 16 |

# 10
The following is a calculated powder X-ray diffraction pattern of InGa6Ag8. It was derived from a crystal structure in Alexandria, relaxed with GGA-PBE, using copper Kα.
Intensities are scaled so that the largest is 100.

Structure:
```
data_InGa6Ag8
_space_group_name_H-M_alt 'R -3'
_space_group_IT_number 148
_space_group_name_Hall '-R 3'
_cell_length_a 8.2716
_cell_length_b 8.2716
_cell_length_c 14.7180
_cell_angle_alpha 90.00
_cell_angle_beta 90.00
_cell_angle_gamma 120.00
loop_
_atom_site_label
_atom_site_type_symbol
_atom_site_fract_x
_atom_site_fract_y
_atom_site_fract_z
In1 In 0.0000 0.0000 0.0000
Ga1 Ga 0.0003 0.1994 0.3677
Ag1 Ag 0.0000 0.0000 0.2068
Ag2 Ag 0.0105 0.6884 0.1292
```

Most intense lines, 2θ = 10–80°, low angle first:
| h k l | 2θ (°) | Rel. int. |
| --- | --- | --- |
| 1 1 3 | 28.2 | 55 |
| 0 1 5 | 32.9 | 32 |
| 3 -1 1 | 33.7 | 33 |
| 0 2 4 | 35.0 | 22 |
| 3 -2 2 | 35.3 | 53 |
| 3 0 0 | 37.7 | 100 |
| 3 -1 4 | 41.4 | 39 |
| 3 0 3 | 42.1 | 68 |
| 2 -1 6 | 42.9 | 98 |
| 4 -2 3 | 47.7 | 38 |
| 1 4 3 | 62.3 | 28 |
| 4 -2 9 | 73.9 | 22 |

# 11
The following is a calculated powder X-ray diffraction pattern of LiTcNiRu. It was derived from a crystal structure in Alexandria, relaxed with GGA-PBE, using copper Kα.
Intensities are scaled so that the largest is 100.

Structure:
```
data_LiTcNiRu
_space_group_name_H-M_alt 'F -4 3 m'
_space_group_IT_number 216
_space_group_name_Hall 'F -4 2 3'
_cell_length_a 5.907
_cell_length_b 5.907
_cell_length_c 5.907
_cell_angle_alpha 90.00
_cell_angle_beta 90.00
_cell_angle_gamma 90.00
loop_
_atom_site_label
_atom_site_type_symbol
_atom_site_fract_x
_atom_site_fract_y
_atom_site_fract_z
Li1 Li 0.000 0.000 0.000
Tc1 Tc 0.000 0.000 0.500
Ni1 Ni 0.250 0.250 0.750
Ru1 Ru 0.250 0.250 0.250
```

Most intense lines, 2θ = 10–80°, low angle first:
| h k l | 2θ (°) | Rel. int. |
| --- | --- | --- |
| 1 1 1 | 26.1 | 37 |
| 2 0 0 | 30.3 | 7 |
| 2 2 0 | 43.3 | 100 |
| 3 1 1 | 51.3 | 17 |
| 2 2 2 | 53.8 | 2 |
| 4 0 0 | 62.9 | 16 |
| 3 3 1 | 69.3 | 7 |
| 4 2 0 | 71.4 | 2 |
| 4 2 2 | 79.5 | 32 |

# 12
The following is a calculated powder X-ray diffraction pattern of LaDy3Tl4. It was derived from a crystal structure in Alexandria, relaxed with GGA-PBE, using copper Kα.
Intensities are scaled so that the largest is 100.

Structure:
```
data_LaDy3Tl4
_space_group_name_H-M_alt 'P m m a'
_space_group_IT_number 51
_space_group_name_Hall '-P 2a 2a'
_cell_length_a 10.895
_cell_length_b 7.662
_cell_length_c 5.446
_cell_angle_alpha 90.00
_cell_angle_beta 90.00
_cell_angle_gamma 90.00
loop_
_atom_site_label
_atom_site_type_symbol
_atom_site_fract_x
_atom_site_fract_y
_atom_site_fract_z
La1 La 0.000 0.000 0.000
Dy1 Dy 0.000 0.500 0.000
Dy2 Dy 0.250 0.000 0.499
Dy3 Dy 0.250 0.500 0.499
Tl1 Tl 0.000 0.260 0.500
Tl2 Tl 0.250 0.260 0.999
```

Most intense lines, 2θ = 10–80°, low angle first:
| h k l | 2θ (°) | Rel. int. |
| --- | --- | --- |
| 2 0 1 | 23.1 | 1 |
| 4 0 0 | 32.9 | 100 |
| 4 2 0 | 40.6 | 1 |
| 4 0 2 | 47.2 | 12 |
| 0 4 0 | 47.5 | 6 |
| 6 0 1 | 53.2 | 1 |
| 6 2 1 | 58.8 | 26 |
| 4 4 0 | 59.0 | 12 |
| 8 0 0 | 69.0 | 4 |
| 4 4 2 | 69.2 | 8 |
| 8 0 2 | 78.6 | 11 |
| 2 6 1 | 79.0 | 5 |